Diffraction record for KCr2AgO7. The X-ray powder pattern is theoretical, not measured: it uses a cell relaxed with GGA+U and Cu Kα, 1.54184 Å.
Peak positions follow from Bragg's law for the DFT cell and can differ from measured ones.

Crystal structure
a b c (Å): 15.463 5.922 7.837
angles (deg): 90.00 90.00 90.00
Space group Pnma (No. 62)
Asymmetric unit:
K (0.213, 0.250, 0.142) (multiplicity 4)
Cr (0.059, 0.750, 0.298) (multiplicity 4)
Cr (0.143, 0.250, 0.676) (multiplicity 4)
Ag (0.048, 0.750, 0.846) (multiplicity 4)
O (0.038, 0.250, 0.581) (multiplicity 4)
O (0.058, 0.521, 0.176) (multiplicity 8)
O (0.142, 0.750, 0.425) (multiplicity 4)
O (0.150, 0.022, 0.797) (multiplicity 8)
O (0.218, 0.250, 0.531) (multiplicity 4)

Main lines, by angle (10° ≤ 2θ ≤ 90°):
11.4°, I = 50.8, hkl 2 0 0; 22.7°, I = 24.4, hkl 0 0 2; 27.6°, I = 69.4, hkl 4 1 0; 27.9°, I = 100.0, hkl 1 1 2; 30.2°, I = 36.2, hkl 0 2 0; 48.5°, I = 23.8, hkl 5 2 2